Diffraction record for CrCdAuF6. The powder diffractogram is computed, not measured: it uses the PBE+U geometry in Alexandria and Cu Kα (λ = 1.5418 Å).
Neutral-atom scattering factors, no anomalous dispersion.

Peak list (10 most intense, 5 to 70 degrees two-theta, most intense first)
hkl 1 0 2, d = 3.494 Å, rel. 100
hkl 1 1 0, d = 2.880 Å, rel. 37
hkl 1 1 4, d = 1.865 Å, rel. 36
hkl 2 1 2, d = 1.759 Å, rel. 28
hkl 2 0 2, d = 2.222 Å, rel. 28
hkl 3 0 0, d = 1.663 Å, rel. 14
hkl 1 0 0, d = 4.988 Å, rel. 12
hkl 1 0 6, d = 1.551 Å, rel. 9
hkl 3 0 4, d = 1.375 Å, rel. 7
hkl 2 0 6, d = 1.365 Å, rel. 7

```
data_CrCdAuF6
_chemical_formula_sum 'Cr2 Cd2 Au2 F12'
_space_group_name_H-M_alt 'P -3 1 c'
_space_group_IT_number 163
_space_group_name_Hall '-P 3 2c'
_cell_length_a 5.7597
_cell_length_b 5.7597
_cell_length_c 9.7900
_cell_angle_alpha 90.00
_cell_angle_beta 90.00
_cell_angle_gamma 120.00
loop_
_atom_site_label
_atom_site_type_symbol
_atom_site_fract_x
_atom_site_fract_y
_atom_site_fract_z
_atom_site_occupancy
Cr1 Cr 0.3333 0.6667 0.2500 1
Cd1 Cd 0.3333 0.6667 0.7500 1
Au1 Au 0.0000 0.0000 0.0000 1
F1 F 0.0413 0.3905 0.1404 1
```